# 1
ThBeGa: computed X-ray diffraction stick pattern (Cu Kα X-rays), based on a GGA-PBE-relaxed structure.

Cell and atoms:
```
ThBeGa
1.0
4.066 0.000 0.000
-2.033 3.521 0.000
0.000 0.000 4.215
Th Be Ga
1 1 1
Direct
0.000 0.000 0.000
0.333 0.667 0.500
0.667 0.333 0.500
```

Largest 10 diffraction maxima, low angle first, 10° ≤ 2θ ≤ 90°:
21.08 deg, 4.215 Å, I 14
25.29 deg, 3.521 Å, I 50
33.15 deg, 2.702 Å, I 100
42.91 deg, 2.108 Å, I 10
44.57 deg, 2.033 Å, I 28
50.47 deg, 1.808 Å, I 16
56.66 deg, 1.624 Å, I 22
63.59 deg, 1.463 Å, I 20
72.42 deg, 1.305 Å, I 11
74.81 deg, 1.269 Å, I 20

***

# 2
Ti2Be16Ga: computed X-ray diffraction stick pattern (Cu Kα X-rays), based on a GGA-PBE-relaxed structure.

Cell and atoms:
```
Ti2Be16Ga
1.0
3.723 2.149 3.629
-3.723 2.149 3.629
0.000 -4.299 3.629
Ti Be Ga
2 16 1
Direct
0.000 0.000 0.000
0.321 0.321 0.321
0.008 0.008 0.502
0.008 0.502 0.008
0.153 0.668 0.668
0.312 0.312 0.834
0.312 0.834 0.312
0.360 0.664 0.967
0.360 0.967 0.664
0.502 0.008 0.008
0.664 0.360 0.967
0.664 0.967 0.360
0.668 0.153 0.668
0.668 0.668 0.153
0.769 0.769 0.769
0.834 0.312 0.312
0.967 0.360 0.664
0.967 0.664 0.360
0.564 0.564 0.564
```

Largest 10 diffraction maxima, low angle first, 10° ≤ 2θ ≤ 90°:
15.97 deg, 5.548 Å, I 21
21.36 deg, 4.160 Å, I 26
23.90 deg, 3.723 Å, I 100
34.51 deg, 2.599 Å, I 40
35.81 deg, 2.508 Å, I 28
42.04 deg, 2.149 Å, I 41
43.51 deg, 2.080 Å, I 21
48.93 deg, 1.861 Å, I 32
49.27 deg, 1.849 Å, I 26
50.25 deg, 1.816 Å, I 26

***

# 3
TiBe2Ga2: computed X-ray diffraction stick pattern (Cu Kα X-rays), based on a GGA-PBE-relaxed structure.

Cell and atoms:
```
TiBe2Ga2
1.0
6.799 0.000 0.000
0.000 6.799 0.000
0.000 0.000 2.799
Ti Be Ga
2 4 4
Direct
0.000 0.000 0.000
0.500 0.500 0.000
0.117 0.383 0.000
0.383 0.883 0.000
0.617 0.117 0.000
0.883 0.617 0.000
0.177 0.677 0.500
0.323 0.177 0.500
0.677 0.823 0.500
0.823 0.323 0.500
```

Largest 10 diffraction maxima, low angle first, 10° ≤ 2θ ≤ 90°:
29.37 deg, 3.041 Å, I 100
31.98 deg, 2.799 Å, I 16
37.17 deg, 2.419 Å, I 28
37.41 deg, 2.404 Å, I 29
41.81 deg, 2.161 Å, I 77
42.02 deg, 2.150 Å, I 54
43.97 deg, 2.059 Å, I 90
55.75 deg, 1.649 Å, I 28
65.72 deg, 1.421 Å, I 32
67.33 deg, 1.391 Å, I 32

***

# 4
Ti4BeGa: computed X-ray diffraction stick pattern (Cu Kα X-rays), based on a GGA-PBE-relaxed structure.

Cell and atoms:
```
Ti4BeGa
1.0
4.897 0.000 0.000
0.000 5.116 0.000
0.000 0.000 7.519
Ti Be Ga
8 2 2
Direct
0.000 0.237 0.113
0.000 0.763 0.887
0.250 0.228 0.750
0.250 0.772 0.250
0.500 0.237 0.387
0.500 0.763 0.613
0.750 0.228 0.750
0.750 0.772 0.250
0.000 0.000 0.500
0.500 0.000 0.000
0.000 0.500 0.500
0.500 0.500 0.000
```

Largest 10 diffraction maxima, low angle first, 10° ≤ 2θ ≤ 90°:
27.87 deg, 3.201 Å, I 48
29.48 deg, 3.030 Å, I 25
34.82 deg, 2.576 Å, I 44
40.06 deg, 2.251 Å, I 50
40.43 deg, 2.231 Å, I 28
41.60 deg, 2.171 Å, I 68
42.70 deg, 2.118 Å, I 100
44.14 deg, 2.052 Å, I 44
69.42 deg, 1.354 Å, I 17
73.52 deg, 1.288 Å, I 33